1.
Computed X-ray powder pattern
Compound: SmNb2O6
Radiation: a wavelength of 1.5418 Å
Structure: the GGA-PBE geometry in OQMD
Neutral-atom scattering factors, no anomalous dispersion.

Main lines, sorted by position (2θ = 10–90°):
index, d/Å, 2θ/deg, I/Imax
3 1 -1, 3.126, 28.56, 100
3 1 1, 2.893, 30.91, 84
0 0 2, 2.662, 33.66, 22
0 2 0, 2.602, 34.47, 16
6 0 0, 2.541, 35.33, 16
6 0 -2, 1.955, 46.45, 15
0 2 2, 1.861, 48.95, 27
6 2 0, 1.818, 50.19, 27
6 0 2, 1.740, 52.60, 13
3 1 -3, 1.650, 55.71, 15

Structure:
Lattice parameters (Å, degrees): 15.349 5.204 5.361 90.00 96.67 90.00
Space group C2/c (No. 15)
One atom of each set of equivalent atoms:
Sm 0.000 0.249 0.250 (multiplicity 4)
Nb 0.176 0.207 0.730 (multiplicity 8)
O 0.079 0.415 0.619 (multiplicity 8)
O 0.101 0.055 0.983 (multiplicity 8)
O 0.234 0.495 0.467 (multiplicity 8)

---

2.
Computed X-ray powder pattern
Compound: SmNbO3
Radiation: a wavelength of 1.5418 Å
Structure: the GGA-PBE geometry in OQMD
Neutral-atom scattering factors, no anomalous dispersion.

Main lines, sorted by position (2θ = 10–90°):
index, d/Å, 2θ/deg, I/Imax
0 1 2, 4.085, 21.76, 31
1 0 4, 3.028, 29.50, 100
1 1 0, 2.767, 32.36, 99
0 2 4, 2.042, 44.35, 38
1 1 6, 1.896, 47.97, 49
2 1 4, 1.643, 55.96, 36
3 0 0, 1.597, 57.71, 30
1 0 10, 1.486, 62.52, 13
0 1 11, 1.362, 68.96, 13
4 -3 4, 1.258, 75.57, 13

Structure:
Lattice parameters (Å, degrees): 5.5333 5.5333 15.6257 90.00 90.00 120.00
Space group R-3 (No. 148, hexagonal axes)
One atom of each set of equivalent atoms:
Sm 0.0000 0.0000 0.1400 (multiplicity 6)
Nb 0.0000 0.0000 0.3413 (multiplicity 6)
O 0.0194 0.3772 0.9200 (multiplicity 18)

---

3.
Computed X-ray powder pattern
Compound: SrNb6O16
Radiation: a wavelength of 1.5418 Å
Structure: the GGA-PBE geometry in OQMD
Neutral-atom scattering factors, no anomalous dispersion.

Main lines, sorted by position (2θ = 10–90°):
index, d/Å, 2θ/deg, I/Imax
1 0 0, 3.898, 22.81, 100
0 0 4, 3.718, 23.93, 27
1 1 1, 3.543, 25.13, 24
0 3 1, 3.364, 26.50, 87
0 2 4, 3.021, 29.57, 55
1 1 3, 2.938, 30.42, 25
0 1 5, 2.859, 31.28, 30
1 3 1, 2.547, 35.24, 37
1 2 4, 2.388, 37.67, 28
2 0 0, 1.949, 46.59, 42

Structure:
Lattice parameters (Å, degrees): 3.898 10.360 14.873 90.00 90.00 90.00
Space group Amm2 (No. 38)
One atom of each set of equivalent atoms:
Sr 0.000 0.000 0.000 (multiplicity 2)
Nb 0.500 0.000 0.190 (multiplicity 2)
Nb 0.500 0.000 0.403 (multiplicity 2)
Nb 0.500 0.180 0.838 (multiplicity 4)
Nb 0.500 0.186 0.585 (multiplicity 4)
O 0.000 0.000 0.174 (multiplicity 2)
O 0.000 0.000 0.393 (multiplicity 2)
O 0.000 0.169 0.862 (multiplicity 4)
O 0.000 0.186 0.588 (multiplicity 4)
O 0.500 0.000 0.541 (multiplicity 2)
O 0.500 0.000 0.890 (multiplicity 2)
O 0.500 0.127 0.081 (multiplicity 4)
O 0.500 0.127 0.286 (multiplicity 4)
O 0.500 0.143 0.715 (multiplicity 4)
O 0.500 0.192 0.444 (multiplicity 4)